# 1
The following is a computed X-ray powder pattern of Ca2DyMnSe4. It was derived from a crystal structure in Alexandria, relaxed with PBE, using Cu Kα (λ = 1.5418 Å).
Intensities are scaled so that the largest is 100.

Largest 10 diffraction maxima, by intensity, 5° ≤ 2θ ≤ 70°:
- 2θ 30.99, I = 100.0
- 2θ 44.43, I = 71.9
- 2θ 30.82, I = 51.1
- 2θ 44.08, I = 36.4
- 2θ 13.19, I = 23.8
- 2θ 55.00, I = 19.0
- 2θ 25.58, I = 14.8
- 2θ 64.59, I = 11.1
- 2θ 55.36, I = 9.0
- 2θ 54.71, I = 9.0

Crystal structure
```
Ca2DyMnSe4
1.0
7.055 0.000 0.000
0.000 4.083 0.000
-2.414 0.000 6.711
Ca Dy Mn Se
2 1 1 4
direct
0.000 0.000 0.000
0.500 0.500 0.000
0.000 0.500 0.500
0.500 0.000 0.500
0.252 0.000 0.742
0.264 0.500 0.269
0.736 0.500 0.731
0.748 0.000 0.258
```

---

# 2
The following is a computed X-ray powder pattern of CaNd8Dy4. It was derived from a crystal structure in Alexandria, relaxed with PBE, using Cu Kα (λ = 1.5418 Å).
Intensities are scaled so that the largest is 100.

Largest 10 diffraction maxima, by intensity, 5° ≤ 2θ ≤ 70°:
- 2θ 29.97, I = 100.0
- 2θ 34.69, I = 33.8
- 2θ 59.29, I = 28.4
- 2θ 50.00, I = 18.1
- 2θ 49.89, I = 18.0
- 2θ 34.83, I = 16.8
- 2θ 59.47, I = 14.2
- 2θ 62.33, I = 6.2
- 2θ 62.22, I = 6.2
- 2θ 5.89, I = 4.9

Crystal structure
```
CaNd8Dy4
1.0
5.770 -2.585 0.000
5.770 2.585 0.000
-1.083 0.000 15.011
Ca Nd Dy
1 8 4
direct
0.000 0.000 0.000
0.076 0.076 0.766
0.234 0.234 0.310
0.306 0.306 0.080
0.460 0.460 0.614
0.540 0.540 0.386
0.694 0.694 0.920
0.766 0.766 0.690
0.924 0.924 0.234
0.152 0.152 0.537
0.379 0.379 0.841
0.621 0.621 0.159
0.848 0.848 0.463
```

---

# 3
The following is a computed X-ray powder pattern of CaNdDy2. It was derived from a crystal structure in Alexandria, relaxed with PBE, using Cu Kα (λ = 1.5418 Å).
Intensities are scaled so that the largest is 100.

Largest 10 diffraction maxima, by intensity, 5° ≤ 2θ ≤ 70°:
- 2θ 31.92, I = 100.0
- 2θ 7.40, I = 31.4
- 2θ 28.10, I = 27.5
- 2θ 29.91, I = 25.2
- 2θ 59.13, I = 21.7
- 2θ 54.38, I = 20.6
- 2θ 49.73, I = 18.9
- 2θ 41.50, I = 18.5
- 2θ 60.32, I = 16.1
- 2θ 14.83, I = 8.7

Crystal structure
```
CaNdDy2
1.0
3.667 0.000 0.000
-1.833 3.175 0.000
0.000 0.000 11.950
Ca Nd Dy
1 1 2
direct
0.000 0.000 0.000
0.000 0.000 0.500
0.667 0.333 0.259
0.667 0.333 0.741
```